For LiCoPt3O6, a crystal structure in Alexandria, relaxed with GGA+U gives the simulated powder diffractogram in this record (a wavelength of 1.5418 Å).

Crystal structure
Cell: 6.250 3.169 6.589 Å, 90.00 105.59 90.00°
Element x y z (fractional)
Li1 0.000 0.000 0.000
Co1 0.251 0.500 0.273
Pt1 0.175 0.000 0.688
Pt2 0.677 0.500 0.701
Pt3 0.685 0.000 0.208
O1 0.014 0.500 0.785
O2 0.028 0.000 0.315
O3 0.342 0.500 0.606
O4 0.345 0.000 0.116
O5 0.628 0.500 0.385
O6 0.737 0.500 0.024

The 10 most intense peaks (10° ≤ 2θ ≤ 90°), low angle first:
2θ/deg	I_rel	hkl
28.12	76	0 0 2
29.68	62	2 0 0
33.27	100	1 1 -1
35.15	32	2 0 -2
36.62	55	1 1 1
46.85	17	2 0 2
50.70	37	1 1 -3
52.62	33	3 1 -1
58.19	20	0 2 0
61.88	17	3 1 -3